1.
Diffraction record for Y2Si2Ge. The X-ray diffraction stick pattern is calculated, not measured: it uses DFT lattice parameters and positions (PBE) and copper Kα.

Main lines, by angle (5 to 70 degrees two-theta):
2θ = 26.44°, 3.371 Å, intensity 10.5; 2θ = 29.13°, 3.065 Å, intensity 24.2; 2θ = 34.06°, 2.632 Å, intensity 100.0; 2θ = 35.15°, 2.553 Å, intensity 13.7; 2θ = 36.24°, 2.479 Å, intensity 11.6; 2θ = 38.39°, 2.345 Å, intensity 22.9; 2θ = 42.94°, 2.106 Å, intensity 13.6; 2θ = 44.92°, 2.018 Å, intensity 15.8; 2θ = 54.87°, 1.673 Å, intensity 13.7; 2θ = 67.55°, 1.387 Å, intensity 12.1

Structural model:
Cell lengths 4.0360, 6.1308, 8.4253 Å; angles 90.00, 90.00, 90.00 degrees
Space group Immm (No. 71)
Asymmetric unit:
Y 0.0000 0.0000 0.2228
Si 0.0000 0.3048 0.5000
Ge 0.0000 0.5000 0.0000

2.
Diffraction record for Y3SiGe. The X-ray diffraction stick pattern is calculated, not measured: it uses DFT lattice parameters and positions (PBE) and copper Kα.

Main lines, by angle (5 to 70 degrees two-theta):
2θ = 16.89°, 5.248 Å, intensity 12.5; 2θ = 27.05°, 3.296 Å, intensity 10.6; 2θ = 28.40°, 3.143 Å, intensity 100.0; 2θ = 34.17°, 2.624 Å, intensity 7.2; 2θ = 37.10°, 2.423 Å, intensity 45.0; 2θ = 43.86°, 2.064 Å, intensity 34.5; 2θ = 48.63°, 1.872 Å, intensity 21.0; 2θ = 52.29°, 1.749 Å, intensity 8.1; 2θ = 53.08°, 1.725 Å, intensity 14.7; 2θ = 58.76°, 1.571 Å, intensity 10.8

Structural model:
Cell lengths 7.1500, 7.1500, 19.7789 Å; angles 90.00, 90.00, 120.00 degrees
Space group R-3 (No. 148, hexagonal axes)
Asymmetric unit:
Y 0.0008 0.6895 0.2486
Si 0.0000 0.0000 0.1556
Ge 0.0000 0.0000 0.3447

3.
Diffraction record for Sm4Ge7. The X-ray diffraction stick pattern is calculated, not measured: it uses DFT lattice parameters and positions (PBE) and copper Kα.

Main lines, by angle (5 to 70 degrees two-theta):
2θ = 25.65°, 3.473 Å, intensity 7.2; 2θ = 28.60°, 3.121 Å, intensity 42.9; 2θ = 32.63°, 2.744 Å, intensity 100.0; 2θ = 38.80°, 2.321 Å, intensity 45.2; 2θ = 42.80°, 2.113 Å, intensity 37.1; 2θ = 50.58°, 1.805 Å, intensity 7.8; 2θ = 50.84°, 1.796 Å, intensity 16.4; 2θ = 52.30°, 1.749 Å, intensity 9.5; 2θ = 59.14°, 1.562 Å, intensity 19.3; 2θ = 68.58°, 1.368 Å, intensity 16.1

Structural model:
Cell lengths 5.9704, 13.8901, 11.9582 Å; angles 90.00, 90.00, 90.00 degrees
Space group C222_1 (No. 20)
Asymmetric unit:
Sm 0.0000 0.0047 0.2500
Sm 0.0143 0.5000 0.0000
Sm 0.2373 0.2551 0.6198
Ge 0.0000 0.4415 0.7500
Ge 0.0191 0.0891 0.9891
Ge 0.1690 0.3543 0.3353
Ge 0.2457 0.3272 0.8711